Record 1
Structure and computed X-ray powder pattern of Te2MoW3Se2S4 (a crystal structure in the Materials Project, relaxed with GGA-PBE; CuKα).

Peak list (10 most intense, 2θ = 10–90°, by angle)
- (0 0 5), 11.8 deg, rel. 100
- (0 0 6), 14.2 deg, rel. 21
- (1 0 0), 31.2 deg, rel. 32
- (1 0 5), 33.5 deg, rel. 16
- (0 1 6), 34.4 deg, rel. 13
- (1 0 8), 36.7 deg, rel. 76
- (1 0 10), 39.6 deg, rel. 15
- (0 1 13), 44.5 deg, rel. 38
- (1 0 14), 46.4 deg, rel. 13
- (1 1 0), 55.6 deg, rel. 23

Structural model:
```
data_Te2MoW3Se2S4
_cell_length_a 3.3089
_cell_length_b 3.3089
_cell_length_c 37.5538
_cell_angle_alpha 90.00
_cell_angle_beta 90.00
_cell_angle_gamma 120.00
_space_group_name_H-M_alt 'P 1'
_space_group_IT_number 1
_space_group_name_Hall 'P 1'
loop_
_atom_site_label
_atom_site_fract_x
_atom_site_fract_y
_atom_site_fract_z
Te1 0.0000 0.0000 0.0000
Te2 0.0000 0.0000 0.1025
Mo1 0.0000 0.0000 0.8633
W1 0.0000 0.0000 0.4876
W2 0.3333 0.6667 0.0513
W3 0.3333 0.6667 0.6755
Se1 0.0000 0.0000 0.6305
Se2 0.0000 0.0000 0.7205
S1 0.3333 0.6667 0.4468
S2 0.3333 0.6667 0.5285
S3 0.3333 0.6667 0.8227
S4 0.3333 0.6667 0.9040
```


Record 2
Structure and computed X-ray powder pattern of Te2Mo3WSe4S2 (a crystal structure in the Materials Project, relaxed with GGA-PBE; CuKα).

Peak list (10 most intense, 2θ = 10–90°, by angle)
- (0 0 5), 11.6 deg, rel. 100
- (0 0 6), 14.0 deg, rel. 14
- (1 0 0), 30.9 deg, rel. 46
- (1 0 5), 33.1 deg, rel. 15
- (1 0 8), 36.3 deg, rel. 89
- (0 1 13), 43.9 deg, rel. 52
- (1 0 14), 45.7 deg, rel. 18
- (1 1 0), 54.9 deg, rel. 34
- (0 2 8), 67.6 deg, rel. 14
- (1 1 21), 77.6 deg, rel. 15

Structural model:
```
data_Te2Mo3WSe4S2
_cell_length_a 3.3469
_cell_length_b 3.3469
_cell_length_c 38.0804
_cell_angle_alpha 90.00
_cell_angle_beta 90.00
_cell_angle_gamma 120.00
_space_group_name_H-M_alt 'P 1'
_space_group_IT_number 1
_space_group_name_Hall 'P 1'
loop_
_atom_site_label
_atom_site_fract_x
_atom_site_fract_y
_atom_site_fract_z
Te1 0.0000 0.0000 0.0000
Te2 0.0000 0.0000 0.1001
Mo1 0.0000 0.0000 0.4864
Mo2 0.0000 0.0000 0.8621
Mo3 0.3333 0.6667 0.6743
W1 0.3333 0.6667 0.0501
Se1 0.0000 0.0000 0.6305
Se2 0.0000 0.0000 0.7181
Se3 0.3333 0.6667 0.8183
Se4 0.3333 0.6667 0.9059
S1 0.3333 0.6667 0.4466
S2 0.3333 0.6667 0.5263
```